Theoretical PXRD pattern of Li2MnF4 for a wavelength of 1.5418 Å, from a crystal structure in Alexandria, relaxed with PBE+U.

Most intense lines, 2θ = 5–70°, in order of rising 2θ:
(hkl)	Position (°2θ)	I (rel.)
1 0 1	18.05	100
0 0 2	20.82	29
2 0 0	29.71	14
1 2 1	33.73	44
1 0 3	34.89	20
2 2 0	41.46	61
0 0 4	42.37	29
2 2 2	46.83	13
2 2 4	60.78	37
4 0 0	61.69	15

```
data_Li2MnF4
_symmetry_space_group_name_H-M 'I m m a'
_symmetry_Int_Tables_number 74
_symmetry_space_group_name_Hall '-I 2b 2'
_cell_length_a 6.014
_cell_length_b 6.318
_cell_length_c 8.533
_cell_angle_alpha 90.00
_cell_angle_beta 90.00
_cell_angle_gamma 90.00
loop_
_atom_site_label
_atom_site_fract_x
_atom_site_fract_y
_atom_site_fract_z
_atom_site_occupancy
Li1 0.000 0.250 0.131 1
Li2 0.250 0.250 0.750 1
Mn1 0.000 0.000 0.500 1
F1 0.000 0.017 0.746 1
F2 0.242 0.250 0.506 1
```